The following is a calculated XRD peak list of TmTcH4. It was derived from a structure optimized by DFT (PBE), using CuKα.
Intensities are scaled so that the largest is 1000.

Structure:
Lattice parameters (Å, degrees): 8.6825 3.6421 3.6421 110.06 90.00 90.00
Element x y z (fractional)
Tm1 0.0000 0.0000 0.0000
Tm2 0.5000 0.0000 0.0000
Tc1 0.2500 0.6515 0.3472
Tc2 0.7500 0.3472 0.6515
H1 0.0498 0.6450 0.3539
H2 0.2500 0.1485 0.3373
H3 0.2500 0.6822 0.8560
H4 0.4502 0.6450 0.3539
H5 0.5498 0.3539 0.6450
H6 0.7500 0.3373 0.1485
H7 0.7500 0.8560 0.6822
H8 0.9502 0.3539 0.6450

The 8 most intense peaks (2θ = 5–70°), by angle:
2θ 26.0, I 215
2θ 28.0, I 221
2θ 33.3, I 1000
2θ 36.5, I 310
2θ 41.6, I 200
2θ 43.3, I 173
2θ 50.8, I 214
2θ 67.7, I 178

***

The following is a calculated XRD peak list of Pm3GaPt2. It was derived from a structure optimized by DFT (PBE), using CuKα.
Intensities are scaled so that the largest is 1000.

Structure:
Lattice parameters (Å, degrees): 7.1212 7.1212 7.7608 102.11 102.11 54.11
Element x y z (fractional)
Pm1 0.1366 0.8634 0.7500
Pm2 0.2745 0.3450 0.9179
Pm3 0.3450 0.2745 0.4179
Pm4 0.6550 0.7255 0.5821
Pm5 0.7255 0.6550 0.0821
Pm6 0.8634 0.1366 0.2500
Ga1 0.3428 0.6572 0.2500
Ga2 0.6572 0.3428 0.7500
Pt1 0.0338 0.2522 0.6099
Pt2 0.2522 0.0338 0.1099
Pt3 0.7478 0.9662 0.8901
Pt4 0.9662 0.7478 0.3901

The 8 most intense peaks (2θ = 5–70°), by angle:
2θ 15.5, I 231
2θ 26.0, I 268
2θ 30.6, I 1000
2θ 32.2, I 999
2θ 32.9, I 502
2θ 44.2, I 406
2θ 45.7, I 379
2θ 47.0, I 201

***

The following is a calculated XRD peak list of TaAl4Pt5. It was derived from a structure optimized by DFT (PBE), using CuKα.
Intensities are scaled so that the largest is 1000.

Structure:
Lattice parameters (Å, degrees): 2.8347 3.2269 16.5185 90.00 90.00 90.00
Element x y z (fractional)
Ta1 0.0000 0.0000 0.0000
Al1 0.0000 0.0000 0.2083
Al2 0.0000 0.0000 0.4024
Al3 0.0000 0.0000 0.5976
Al4 0.0000 0.0000 0.7917
Pt1 0.5000 0.5000 0.1144
Pt2 0.5000 0.5000 0.3047
Pt3 0.5000 0.5000 0.5000
Pt4 0.5000 0.5000 0.6953
Pt5 0.5000 0.5000 0.8856

The 8 most intense peaks (2θ = 5–70°), by angle:
2θ 5.3, I 387
2θ 27.0, I 358
2θ 27.6, I 383
2θ 31.6, I 274
2θ 39.0, I 1000
2θ 42.0, I 815
2θ 42.4, I 851
2θ 51.0, I 261

***

The following is a calculated XRD peak list of SmCd6Au4. It was derived from a structure optimized by DFT (PBE), using CuKα.
Intensities are scaled so that the largest is 1000.

Structure:
Lattice parameters (Å, degrees): 8.5383 8.5383 3.9263 90.00 90.00 120.00
Element x y z (fractional)
Sm1 0.0000 0.0000 0.0000
Cd1 0.1978 0.3956 0.5000
Cd2 0.1978 0.8022 0.5000
Cd3 0.5389 0.0778 0.0000
Cd4 0.5389 0.4611 0.0000
Cd5 0.6044 0.8022 0.5000
Cd6 0.9222 0.4611 0.0000
Au1 0.3333 0.6667 0.0000
Au2 0.3432 0.1716 0.5000
Au3 0.8284 0.1716 0.5000
Au4 0.8284 0.6568 0.5000

The 8 most intense peaks (2θ = 5–70°), by angle:
2θ 24.1, I 353
2θ 30.9, I 644
2θ 33.3, I 1000
2θ 39.6, I 764
2θ 42.3, I 706
2θ 43.3, I 243
2θ 46.2, I 296
2θ 64.5, I 403

***

The following is a calculated XRD peak list of Sr4Li2Si4N8O. It was derived from a structure optimized by DFT (PBE), using CuKα.
Intensities are scaled so that the largest is 1000.

Structure:
Lattice parameters (Å, degrees): 9.3852 9.3852 5.6115 90.00 90.00 90.00
Element x y z (fractional)
Sr1 0.0545 0.2655 0.0000
Sr2 0.2345 0.4455 0.5000
Sr3 0.2655 0.9455 0.0000
Sr4 0.4455 0.7655 0.5000
Sr5 0.5545 0.2345 0.5000
Sr6 0.7345 0.0545 0.0000
Sr7 0.7655 0.5545 0.5000
Sr8 0.9455 0.7345 0.0000
Li1 0.0000 0.0000 0.3178
Li2 0.0000 0.0000 0.6822
Li3 0.5000 0.5000 0.1822
Li4 0.5000 0.5000 0.8178
Si1 0.1211 0.7699 0.5000
Si2 0.2301 0.1211 0.5000
Si3 0.2699 0.6211 0.0000
Si4 0.3789 0.2699 0.0000
Si5 0.6211 0.7301 0.0000
Si6 0.7301 0.3789 0.0000
Si7 0.7699 0.8789 0.5000
Si8 0.8789 0.2301 0.5000
N1 0.0623 0.2049 0.5000
N2 0.1750 0.6750 0.2500
N3 0.1750 0.6750 0.7500
N4 0.2049 0.9377 0.5000
N5 0.2951 0.4377 0.0000
N6 0.3250 0.1750 0.2500
N7 0.3250 0.1750 0.7500
N8 0.4377 0.7049 0.0000
N9 0.5623 0.2951 0.0000
N10 0.6750 0.8250 0.2500
N11 0.6750 0.8250 0.7500
N12 0.7049 0.5623 0.0000
N13 0.7951 0.0623 0.5000
N14 0.8250 0.3250 0.2500
N15 0.8250 0.3250 0.7500
N16 0.9377 0.7951 0.5000
O1 0.0000 0.0000 0.0000
O2 0.5000 0.5000 0.5000

The 8 most intense peaks (2θ = 5–70°), by angle:
2θ 26.5, I 325
2θ 26.9, I 488
2θ 31.9, I 528
2θ 32.8, I 428
2θ 34.2, I 1000
2θ 42.2, I 411
2θ 58.3, I 218
2θ 59.8, I 246

***

The following is a calculated XRD peak list of Ce2Er5Sn4. It was derived from a structure optimized by DFT (PBE), using CuKα.
Intensities are scaled so that the largest is 1000.

Structure:
Lattice parameters (Å, degrees): 13.1457 13.1457 7.4541 91.20 91.20 14.98
Element x y z (fractional)
Ce1 0.0950 0.0950 0.2112
Ce2 0.9050 0.9050 0.7888
Er1 0.1379 0.1379 0.6609
Er2 0.2364 0.2364 0.2960
Er3 0.5000 0.5000 0.5000
Er4 0.7636 0.7636 0.7040
Er5 0.8621 0.8621 0.3391
Sn1 0.0306 0.0306 0.8366
Sn2 0.3218 0.3218 0.0086
Sn3 0.6782 0.6782 0.9914
Sn4 0.9694 0.9694 0.1634

The 8 most intense peaks (2θ = 5–70°), by angle:
2θ 29.7, I 1000
2θ 30.6, I 840
2θ 32.0, I 726
2θ 35.8, I 381
2θ 36.7, I 431
2θ 37.0, I 297
2θ 39.5, I 327
2θ 62.4, I 325

***

The following is a calculated XRD peak list of HfBPbO5. It was derived from a structure optimized by DFT (PBE), using CuKα.
Intensities are scaled so that the largest is 1000.

Structure:
Lattice parameters (Å, degrees): 5.4783 5.4783 7.4494 104.21 104.21 105.33
Element x y z (fractional)
Hf1 0.0000 0.0000 0.0000
Hf2 0.0000 0.0000 0.5000
B1 0.3188 0.6812 0.7500
B2 0.6812 0.3188 0.2500
Pb1 0.3426 0.6574 0.2500
Pb2 0.6574 0.3426 0.7500
O1 0.0857 0.9143 0.2500
O2 0.1255 0.6892 0.8652
O3 0.2506 0.4058 0.6057
O4 0.3108 0.8745 0.6348
O5 0.4058 0.2506 0.1057
O6 0.5942 0.7494 0.8943
O7 0.6892 0.1255 0.3652
O8 0.7494 0.5942 0.3943
O9 0.8745 0.3108 0.1348
O10 0.9143 0.0857 0.7500

The 8 most intense peaks (2θ = 5–70°), by angle:
2θ 18.2, I 527
2θ 24.3, I 322
2θ 26.3, I 1000
2θ 29.4, I 664
2θ 33.4, I 409
2θ 34.2, I 750
2θ 36.6, I 280
2θ 49.7, I 352

***

The following is a calculated XRD peak list of DySc4. It was derived from a structure optimized by DFT (PBE), using CuKα.
Intensities are scaled so that the largest is 1000.

Structure:
Lattice parameters (Å, degrees): 8.1649 8.1649 8.1649 157.03 142.58 44.36
Element x y z (fractional)
Dy1 0.0000 0.0000 0.0000
Sc1 0.2131 0.7131 0.5000
Sc2 0.3991 0.3991 0.0000
Sc3 0.6009 0.6009 0.0000
Sc4 0.7869 0.2869 0.5000

The 8 most intense peaks (2θ = 5–70°), by angle:
2θ 11.7, I 390
2θ 17.9, I 327
2θ 24.5, I 240
2θ 32.8, I 409
2θ 34.2, I 1000
2θ 34.6, I 828
2θ 48.1, I 302
2θ 67.8, I 249

***

The following is a calculated XRD peak list of SrPa4Ni3S12. It was derived from a structure optimized by DFT (PBE), using CuKα.
Intensities are scaled so that the largest is 1000.

Structure:
Lattice parameters (Å, degrees): 8.3580 8.3580 8.3580 109.47 109.47 109.47
Element x y z (fractional)
Sr1 0.0000 0.0000 0.0000
Pa1 0.0000 0.0000 0.5000
Pa2 0.0000 0.5000 0.0000
Pa3 0.5000 0.0000 0.0000
Pa4 0.5000 0.5000 0.5000
Ni1 0.0000 0.5000 0.5000
Ni2 0.5000 0.0000 0.5000
Ni3 0.5000 0.5000 0.0000
S1 0.1575 0.4765 0.3190
S2 0.1575 0.8385 0.6810
S3 0.1615 0.3190 0.8425
S4 0.3190 0.1575 0.4765
S5 0.3190 0.8425 0.1615
S6 0.4765 0.3190 0.1575
S7 0.5235 0.6810 0.8425
S8 0.6810 0.1575 0.8385
S9 0.6810 0.8425 0.5235
S10 0.8385 0.6810 0.1575
S11 0.8425 0.1615 0.3190
S12 0.8425 0.5235 0.6810

The 8 most intense peaks (2θ = 5–70°), by angle:
2θ 18.4, I 371
2θ 26.1, I 1000
2θ 32.1, I 89
2θ 37.3, I 250
2θ 41.9, I 255
2θ 46.1, I 623
2θ 53.7, I 146
2θ 60.7, I 231

***

The following is a calculated XRD peak list of MnV. It was derived from a structure optimized by DFT (PBE), using CuKα.
Intensities are scaled so that the largest is 1000.

Structure:
Lattice parameters (Å, degrees): 2.8726 2.8726 2.8726 90.00 90.00 90.00
Element x y z (fractional)
Mn1 0.0000 0.0000 0.0000
V1 0.5000 0.5000 0.5000

The 2 most intense peaks (2θ = 5–70°), by angle:
2θ 44.6, I 1000
2θ 64.9, I 146

***

The following is a calculated XRD peak list of V5Tc2. It was derived from a structure optimized by DFT (PBE), using CuKα.
Intensities are scaled so that the largest is 1000.

Structure:
Lattice parameters (Å, degrees): 2.6955 8.6181 8.9077 90.00 97.87 90.00
Element x y z (fractional)
V1 0.0000 0.0000 0.0000
V2 0.0000 0.5000 0.5000
V3 0.0064 0.2232 0.4226
V4 0.0064 0.2768 0.9226
V5 0.2479 0.5421 0.8582
V6 0.2479 0.9579 0.3582
V7 0.7521 0.0421 0.6418
V8 0.7521 0.4579 0.1418
V9 0.9936 0.7232 0.0774
V10 0.9936 0.7768 0.5774
Tc1 0.4974 0.1808 0.1785
Tc2 0.4974 0.3192 0.6785
Tc3 0.5026 0.6808 0.3215
Tc4 0.5026 0.8192 0.8215

The 8 most intense peaks (2θ = 5–70°), by angle:
2θ 22.6, I 342
2θ 23.0, I 588
2θ 38.4, I 606
2θ 41.9, I 571
2θ 42.3, I 754
2θ 43.2, I 1000
2θ 44.1, I 722
2θ 46.5, I 330

***

The following is a calculated XRD peak list of La4SbTe7. It was derived from a structure optimized by DFT (PBE), using CuKα.
Intensities are scaled so that the largest is 1000.

Structure:
Lattice parameters (Å, degrees): 4.5192 4.5192 18.7832 90.00 90.00 90.00
Element x y z (fractional)
La1 0.0000 0.5000 0.1369
La2 0.0000 0.5000 0.6384
La3 0.5000 0.0000 0.3616
La4 0.5000 0.0000 0.8631
Sb1 0.0000 0.0000 0.5000
Te1 0.0000 0.0000 0.0000
Te2 0.0000 0.5000 0.3147
Te3 0.0000 0.5000 0.8174
Te4 0.5000 0.0000 0.1826
Te5 0.5000 0.0000 0.6853
Te6 0.5000 0.5000 0.0000
Te7 0.5000 0.5000 0.5000

The 8 most intense peaks (2θ = 5–70°), by angle:
2θ 28.5, I 424
2θ 29.5, I 1000
2θ 33.9, I 923
2θ 34.9, I 475
2θ 39.9, I 623
2θ 49.8, I 359
2θ 54.0, I 270
2θ 68.6, I 234